[1]
The following is a computed X-ray powder pattern of BaRu. It was derived from the GGA-PBE geometry in Alexandria, using a wavelength of 1.5418 Å.
Neutral-atom scattering factors, no anomalous dispersion.

Largest 10 diffraction maxima, low angle first, 2θ = 15–90°:
2θ = 16.20°, d = 5.470 Å, I = 34
2θ = 25.13°, d = 3.543 Å, I = 20
2θ = 26.70°, d = 3.339 Å, I = 29
2θ = 28.16°, d = 3.169 Å, I = 39
2θ = 28.79°, d = 3.101 Å, I = 45
2θ = 29.02°, d = 3.077 Å, I = 42
2θ = 32.17°, d = 2.783 Å, I = 100
2θ = 34.77°, d = 2.580 Å, I = 48
2θ = 39.10°, d = 2.304 Å, I = 22
2θ = 48.85°, d = 1.864 Å, I = 24

Structural model:
```
data_BaRu
_chemical_formula_sum 'Ba8 Ru8'
_space_group_name_H-M_alt 'P 1'
_space_group_IT_number 1
_cell_length_a 6.5189
_cell_length_b 7.7749
_cell_length_c 10.0541
_cell_angle_alpha 90.00
_cell_angle_beta 90.00
_cell_angle_gamma 90.00
loop_
_space_group_symop_operation_xyz
'x,y,z'
loop_
_atom_site_label
_atom_site_fract_x
_atom_site_fract_y
_atom_site_fract_z
_atom_site_occupancy
Ba1 0.1015 0.1084 0.4833 1
Ba2 0.1447 0.6573 0.6363 1
Ba3 0.3553 0.3427 0.1363 1
Ba4 0.3985 0.8916 0.9833 1
Ba5 0.6015 0.3916 0.5167 1
Ba6 0.6447 0.8427 0.3637 1
Ba7 0.8553 0.1573 0.8637 1
Ba8 0.8985 0.6084 0.0167 1
Ru1 0.0146 0.5029 0.3385 1
Ru2 0.1504 0.7699 0.2672 1
Ru3 0.3496 0.2301 0.7672 1
Ru4 0.4854 0.4971 0.8385 1
Ru5 0.5146 0.9971 0.6615 1
Ru6 0.6504 0.7301 0.7328 1
Ru7 0.8496 0.2699 0.2328 1
Ru8 0.9854 0.0029 0.1615 1
```

[2]
The following is a computed X-ray powder pattern of Ba3Ru. It was derived from the GGA-PBE geometry in Alexandria, using a wavelength of 1.5418 Å.
Neutral-atom scattering factors, no anomalous dispersion.

Largest 10 diffraction maxima, low angle first, 2θ = 15–90°:
2θ = 22.59°, d = 3.936 Å, I = 26
2θ = 23.78°, d = 3.742 Å, I = 47
2θ = 25.22°, d = 3.532 Å, I = 91
2θ = 28.67°, d = 3.113 Å, I = 100
2θ = 33.03°, d = 2.712 Å, I = 80
2θ = 38.87°, d = 2.317 Å, I = 53
2θ = 42.70°, d = 2.118 Å, I = 38
2θ = 50.13°, d = 1.820 Å, I = 33
2θ = 50.89°, d = 1.794 Å, I = 26
2θ = 62.55°, d = 1.485 Å, I = 26

Structural model:
```
data_Ba3Ru
_chemical_formula_sum 'Ba6 Ru2'
_space_group_name_H-M_alt 'P 1'
_space_group_IT_number 1
_cell_length_a 4.1662
_cell_length_b 12.0164
_cell_length_c 7.4847
_cell_angle_alpha 90.00
_cell_angle_beta 90.00
_cell_angle_gamma 90.00
loop_
_space_group_symop_operation_xyz
'x,y,z'
loop_
_atom_site_label
_atom_site_fract_x
_atom_site_fract_y
_atom_site_fract_z
_atom_site_occupancy
Ba1 0.0000 0.0000 0.0000 1
Ba2 0.0000 0.1631 0.4551 1
Ba3 0.0000 0.8369 0.4551 1
Ba4 0.5000 0.3369 0.9551 1
Ba5 0.5000 0.5000 0.5000 1
Ba6 0.5000 0.6631 0.9551 1
Ru1 0.0000 0.5000 0.7975 1
Ru2 0.5000 0.0000 0.2975 1
```

[3]
The following is a computed X-ray powder pattern of Ba5Ru. It was derived from the GGA-PBE geometry in Alexandria, using a wavelength of 1.5418 Å.
Neutral-atom scattering factors, no anomalous dispersion.

Largest 10 diffraction maxima, low angle first, 2θ = 15–90°:
2θ = 16.27°, d = 5.449 Å, I = 15
2θ = 23.61°, d = 3.767 Å, I = 14
2θ = 27.45°, d = 3.249 Å, I = 100
2θ = 27.79°, d = 3.210 Å, I = 44
2θ = 29.37°, d = 3.041 Å, I = 13
2θ = 29.49°, d = 3.029 Å, I = 27
2θ = 32.58°, d = 2.749 Å, I = 35
2θ = 40.03°, d = 2.252 Å, I = 16
2θ = 48.95°, d = 1.861 Å, I = 20
2θ = 49.43°, d = 1.844 Å, I = 18

Structural model:
```
data_Ba5Ru
_chemical_formula_sum 'Ba10 Ru2'
_space_group_name_H-M_alt 'P 1'
_space_group_IT_number 1
_cell_length_a 6.4199
_cell_length_b 4.5050
_cell_length_c 20.6146
_cell_angle_alpha 90.00
_cell_angle_beta 90.00
_cell_angle_gamma 90.00
loop_
_space_group_symop_operation_xyz
'x,y,z'
loop_
_atom_site_label
_atom_site_fract_x
_atom_site_fract_y
_atom_site_fract_z
_atom_site_occupancy
Ba1 0.0000 0.0000 0.0000 1
Ba2 0.0000 0.0000 0.2052 1
Ba3 0.0000 0.5000 0.5000 1
Ba4 0.0000 0.5000 0.7052 1
Ba5 0.5000 0.0000 0.0863 1
Ba6 0.5000 0.0000 0.4061 1
Ba7 0.5000 0.0000 0.7352 1
Ba8 0.5000 0.5000 0.2352 1
Ba9 0.5000 0.5000 0.5863 1
Ba10 0.5000 0.5000 0.9061 1
Ru1 0.0000 0.0000 0.6088 1
Ru2 0.0000 0.5000 0.1088 1
```

[4]
The following is a computed X-ray powder pattern of BaRu. It was derived from the GGA-PBE geometry in Alexandria, using a wavelength of 1.5418 Å.
Neutral-atom scattering factors, no anomalous dispersion.

Largest 10 diffraction maxima, low angle first, 2θ = 15–90°:
2θ = 26.60°, d = 3.352 Å, I = 34
2θ = 26.75°, d = 3.332 Å, I = 32
2θ = 29.71°, d = 3.007 Å, I = 97
2θ = 31.41°, d = 2.848 Å, I = 100
2θ = 31.54°, d = 2.836 Å, I = 68
2θ = 36.54°, d = 2.459 Å, I = 32
2θ = 42.73°, d = 2.116 Å, I = 36
2θ = 43.78°, d = 2.068 Å, I = 53
2θ = 53.98°, d = 1.699 Å, I = 42
2θ = 58.21°, d = 1.585 Å, I = 34

Structural model:
```
data_BaRu
_chemical_formula_sum 'Ba8 Ru8'
_space_group_name_H-M_alt 'P 1'
_space_group_IT_number 1
_cell_length_a 12.0846
_cell_length_b 12.0846
_cell_length_c 4.2322
_cell_angle_alpha 90.00
_cell_angle_beta 90.00
_cell_angle_gamma 90.00
loop_
_space_group_symop_operation_xyz
'x,y,z'
loop_
_atom_site_label
_atom_site_fract_x
_atom_site_fract_y
_atom_site_fract_z
_atom_site_occupancy
Ba1 0.0029 0.3002 0.0000 1
Ba2 0.3002 0.9971 0.0000 1
Ba3 0.3305 0.6686 0.5000 1
Ba4 0.3314 0.3305 0.5000 1
Ba5 0.6686 0.6695 0.5000 1
Ba6 0.6695 0.3314 0.5000 1
Ba7 0.6998 0.0029 0.0000 1
Ba8 0.9971 0.6998 0.0000 1
Ru1 0.1016 0.4778 0.5000 1
Ru2 0.1799 0.5212 0.0000 1
Ru3 0.4778 0.8984 0.5000 1
Ru4 0.4788 0.1799 0.0000 1
Ru5 0.5212 0.8201 0.0000 1
Ru6 0.5222 0.1016 0.5000 1
Ru7 0.8201 0.4788 0.0000 1
Ru8 0.8984 0.5222 0.5000 1
```